# 1
Li7Mn2Co3O12: computed X-ray powder pattern (Cu Kα (λ = 1.5418 Å)), based on the PBE+U geometry in the Materials Project.
Kinematic intensities with the Lorentz-polarization factor, no thermal factor.

Most intense lines, 2θ from 15° to 90°, in order of rising 2θ:
hkl	2θ/deg	I (rel.)
0 0 5	15.14	4
0 0 6	18.19	100
0 1 2	35.72	43
1 0 4	37.32	12
0 1 8	43.23	91
1 0 10	47.26	15
0 1 14	56.94	15
1 0 16	62.47	25
1 1 0	63.11	25
1 1 6	66.28	14
2 0 8	79.58	11
1 0 22	81.61	5

Atomic structure:
```
data_Li7Mn2Co3O12
_symmetry_space_group_name_H-M 'P 3 m 1'
_symmetry_Int_Tables_number 156
_symmetry_space_group_name_Hall 'P 3 -2"'
_cell_length_a 2.9463
_cell_length_b 2.9463
_cell_length_c 29.2687
_cell_angle_alpha 90.00
_cell_angle_beta 90.00
_cell_angle_gamma 120.00
loop_
_atom_site_label
_atom_site_type_symbol
_atom_site_fract_x
_atom_site_fract_y
_atom_site_fract_z
Li1 Li 0.0000 0.0000 0.0000
Li2 Li 0.0000 0.0000 0.2458
Li3 Li 0.0000 0.0000 0.4942
Li4 Li 0.3333 0.6667 0.1665
Li5 Li 0.3333 0.6667 0.6589
Li6 Li 0.6667 0.3333 0.3271
Li7 Li 0.6667 0.3333 0.8294
Mn1 Mn 0.0000 0.0000 0.7456
Mn2 Mn 0.3333 0.6667 0.9131
Co1 Co 0.3333 0.6667 0.4127
Co2 Co 0.6667 0.3333 0.0795
Co3 Co 0.6667 0.3333 0.5789
O1 O 0.0000 0.0000 0.1133
O2 O 0.0000 0.0000 0.3756
O3 O 0.0000 0.0000 0.6167
O4 O 0.0000 0.0000 0.8740
O5 O 0.3333 0.6667 0.0417
O6 O 0.3333 0.6667 0.2878
O7 O 0.3333 0.6667 0.5436
O8 O 0.3333 0.6667 0.7847
O9 O 0.6667 0.3333 0.2035
O10 O 0.6667 0.3333 0.4522
O11 O 0.6667 0.3333 0.7077
O12 O 0.6667 0.3333 0.9508
```

***

# 2
Li7Mn2Co3O12: computed X-ray powder pattern (Cu Kα (λ = 1.5418 Å)), based on the PBE+U geometry in the Materials Project.
Kinematic intensities with the Lorentz-polarization factor, no thermal factor.

Most intense lines, 2θ from 15° to 90°, in order of rising 2θ:
hkl	2θ/deg	I (rel.)
1 0 0	18.30	100
0 1 -1	18.52	7
-1 2 1	35.78	13
1 -2 2	35.87	13
1 0 -3	36.32	12
0 2 1	43.22	28
2 -2 2	43.44	28
2 0 -3	43.98	27
1 0 3	47.55	9
2 2 -2	62.83	15
2 -4 1	63.11	15
0 2 -5	63.89	14

Atomic structure:
```
data_Li7Mn2Co3O12
_symmetry_space_group_name_H-M 'P -1'
_symmetry_Int_Tables_number 2
_symmetry_space_group_name_Hall '-P 1'
_cell_length_a 5.8919
_cell_length_b 5.8939
_cell_length_c 7.6845
_cell_angle_alpha 100.98
_cell_angle_beta 100.20
_cell_angle_gamma 119.77
loop_
_atom_site_label
_atom_site_type_symbol
_atom_site_fract_x
_atom_site_fract_y
_atom_site_fract_z
Li1 Li 0.0000 0.0000 0.0000
Li2 Li 0.0000 0.5000 0.0000
Li3 Li 0.0050 0.1693 0.6687
Li4 Li 0.0132 0.6793 0.6762
Li5 Li 0.5000 0.0000 0.0000
Mn1 Mn 0.4964 0.8328 0.3287
Co1 Co 0.4958 0.3249 0.3243
Co2 Co 0.5000 0.5000 0.0000
O1 O 0.2639 0.4386 0.1774
O2 O 0.2682 0.9153 0.1806
O3 O 0.2723 0.1016 0.8249
O4 O 0.2750 0.5814 0.8278
O5 O 0.2775 0.7784 0.5064
O6 O 0.2855 0.2577 0.5066
```

***

# 3
Li7Mn4CoO12: computed X-ray powder pattern (Cu Kα (λ = 1.5418 Å)), based on the PBE+U geometry in the Materials Project.
Kinematic intensities with the Lorentz-polarization factor, no thermal factor.

Most intense lines, 2θ from 15° to 90°, in order of rising 2θ:
hkl	2θ/deg	I (rel.)
0 1 0	18.34	100
1 0 -3	34.60	17
2 -1 0	36.39	23
0 2 0	37.18	7
1 1 -3	41.58	33
2 -2 0	44.22	28
1 1 3	44.39	27
1 -3 3	62.21	8
-3 1 3	62.38	16
2 2 0	62.55	8
-1 3 3	63.95	7
3 -1 3	64.96	8

Atomic structure:
```
data_Li7Mn4CoO12
_symmetry_space_group_name_H-M 'P 1'
_symmetry_Int_Tables_number 1
_symmetry_space_group_name_Hall 'P 1'
_cell_length_a 5.0351
_cell_length_b 5.0918
_cell_length_c 8.9539
_cell_angle_alpha 91.73
_cell_angle_beta 92.45
_cell_angle_gamma 108.01
loop_
_atom_site_label
_atom_site_type_symbol
_atom_site_fract_x
_atom_site_fract_y
_atom_site_fract_z
Li1 Li 0.0000 0.0000 0.0000
Li2 Li 0.0020 0.5078 0.8382
Li3 Li 0.0114 0.0103 0.3413
Li4 Li 0.4829 0.9907 0.5205
Li5 Li 0.5072 0.0086 0.1704
Li6 Li 0.5175 0.0162 0.8307
Li7 Li 0.9964 0.0053 0.6838
Mn1 Mn 0.0108 0.5115 0.1720
Mn2 Mn 0.4995 0.5036 0.3455
Mn3 Mn 0.4999 0.5015 0.6803
Mn4 Mn 0.5138 0.5125 0.0031
Co1 Co 0.9910 0.4919 0.5199
O1 O 0.2387 0.2687 0.5220
O2 O 0.2453 0.7213 0.0254
O3 O 0.2474 0.7248 0.6633
O4 O 0.2479 0.2756 0.1875
O5 O 0.2562 0.7393 0.3355
O6 O 0.2913 0.2852 0.8361
O7 O 0.7300 0.7134 0.5166
O8 O 0.7329 0.2686 0.6682
O9 O 0.7362 0.7498 0.8271
O10 O 0.7594 0.2777 0.0219
O11 O 0.7692 0.7409 0.1661
O12 O 0.7763 0.2993 0.3358
```

***

# 4
Li5MnCo2O8: computed X-ray powder pattern (Cu Kα (λ = 1.5418 Å)), based on the PBE+U geometry in the Materials Project.
Kinematic intensities with the Lorentz-polarization factor, no thermal factor.

Most intense lines, 2θ from 15° to 90°, in order of rising 2θ:
hkl	2θ/deg	I (rel.)
0 0 2	18.11	11
2 0 0	18.54	100
2 0 -1	18.86	10
0 0 3	27.32	7
1 1 -2	35.85	28
0 0 4	36.71	12
3 1 -2	43.29	66
2 0 4	44.98	28
5 1 -2	57.22	10
6 0 -4	62.49	9
0 2 0	63.27	9
5 1 2	64.20	31

Atomic structure:
```
data_Li5MnCo2O8
_symmetry_space_group_name_H-M 'C 1 m 1'
_symmetry_Int_Tables_number 8
_symmetry_space_group_name_Hall 'C -2y'
_cell_length_a 9.7859
_cell_length_b 2.9394
_cell_length_c 10.0162
_cell_angle_alpha 90.00
_cell_angle_beta 102.09
_cell_angle_gamma 90.00
loop_
_atom_site_label
_atom_site_type_symbol
_atom_site_fract_x
_atom_site_fract_y
_atom_site_fract_z
Li1 Li 0.0000 0.0000 0.0000
Li2 Li 0.0034 0.0000 0.5121
Li3 Li 0.0075 0.5000 0.7648
Li4 Li 0.2426 0.0000 0.8846
Li5 Li 0.4958 0.0000 0.2622
Mn1 Mn 0.2458 0.5000 0.1266
Co1 Co 0.2525 0.5000 0.6464
Co2 Co 0.2553 0.0000 0.3901
O1 O 0.1271 0.5000 0.9596
O2 O 0.1371 0.0000 0.6906
O3 O 0.1397 0.0000 0.1968
O4 O 0.1416 0.5000 0.4568
O5 O 0.3581 0.0000 0.0805
O6 O 0.3635 0.5000 0.3169
O7 O 0.3657 0.0000 0.5690
O8 O 0.3670 0.5000 0.8022
```

***

# 5
Li7Mn4CoO12: computed X-ray powder pattern (Cu Kα (λ = 1.5418 Å)), based on the PBE+U geometry in the Materials Project.
Kinematic intensities with the Lorentz-polarization factor, no thermal factor.

Most intense lines, 2θ from 15° to 90°, in order of rising 2θ:
hkl	2θ/deg	I (rel.)
1 -1 0	17.14	8
1 1 -1	18.39	100
2 -2 0	34.68	15
1 -1 3	36.49	24
-3 1 1	41.75	33
1 3 1	44.40	55
2 0 -4	47.42	8
3 -3 3	62.48	8
-2 4 2	62.59	16
4 2 0	62.65	8
1 5 -3	64.00	7
1 1 5	65.21	7

Atomic structure:
```
data_Li7Mn4CoO12
_symmetry_space_group_name_H-M 'P -1'
_symmetry_Int_Tables_number 2
_symmetry_space_group_name_Hall '-P 1'
_cell_length_a 6.8013
_cell_length_b 7.7240
_cell_length_c 8.6591
_cell_angle_alpha 104.66
_cell_angle_beta 99.85
_cell_angle_gamma 91.66
loop_
_atom_site_label
_atom_site_type_symbol
_atom_site_fract_x
_atom_site_fract_y
_atom_site_fract_z
Li1 Li 0.0000 0.0000 0.0000
Li2 Li 0.0773 0.3246 0.9224
Li3 Li 0.0879 0.8339 0.4162
Li4 Li 0.2392 0.5009 0.2485
Li5 Li 0.2591 0.9999 0.7506
Li6 Li 0.4009 0.6709 0.5857
Li7 Li 0.4206 0.1755 0.0776
Li8 Li 0.5000 0.5000 0.0000
Mn1 Mn 0.1621 0.1658 0.3307
Mn2 Mn 0.1659 0.6660 0.8333
Mn3 Mn 0.3297 0.3361 0.6711
Mn4 Mn 0.3342 0.8345 0.1659
Co1 Co 0.0000 0.5000 0.5000
Co2 Co 0.5000 0.0000 0.5000
O1 O 0.0394 0.4346 0.7061
O2 O 0.0749 0.9176 0.2096
O3 O 0.1021 0.2538 0.1367
O4 O 0.1274 0.7338 0.6300
O5 O 0.2074 0.6032 0.0386
O6 O 0.2112 0.0988 0.5382
O7 O 0.2629 0.4128 0.4648
O8 O 0.2940 0.8974 0.9623
O9 O 0.3779 0.7693 0.3746
O10 O 0.3980 0.2443 0.8636
O11 O 0.4272 0.5799 0.7898
O12 O 0.4596 0.0682 0.2953
```

***

# 6
Li5MnCo2O8: computed X-ray powder pattern (Cu Kα (λ = 1.5418 Å)), based on the PBE+U geometry in the Materials Project.
Kinematic intensities with the Lorentz-polarization factor, no thermal factor.

Most intense lines, 2θ from 15° to 90°, in order of rising 2θ:
hkl	2θ/deg	I (rel.)
0 0 2	17.63	11
2 0 0	18.29	100
2 0 -1	18.91	9
0 0 3	26.58	12
2 0 -3	29.69	9
0 0 4	35.69	11
1 1 -2	36.14	25
2 0 4	43.24	28
3 1 -2	43.68	62
5 1 -2	57.47	10
5 1 2	62.95	15
1 1 -6	63.36	14

Atomic structure:
```
data_Li5MnCo2O8
_symmetry_space_group_name_H-M 'C 1 2/m 1'
_symmetry_Int_Tables_number 12
_symmetry_space_group_name_Hall '-C 2y'
_cell_length_a 9.8462
_cell_length_b 2.9021
_cell_length_c 10.2109
_cell_angle_alpha 90.00
_cell_angle_beta 99.81
_cell_angle_gamma 90.00
loop_
_atom_site_label
_atom_site_type_symbol
_atom_site_fract_x
_atom_site_fract_y
_atom_site_fract_z
Li1 Li 0.0000 0.0000 0.0000
Li2 Li 0.2427 0.5000 0.1161
Li3 Li 0.2501 0.0000 0.3674
Mn1 Mn 0.0000 0.0000 0.5000
Co1 Co 0.0085 0.5000 0.7694
O1 O 0.1086 0.0000 0.6769
O2 O 0.1098 0.5000 0.4449
O3 O 0.1142 0.0000 0.1972
O4 O 0.1224 0.5000 0.9245
```

***

# 7
Li5Mn2CoO8: computed X-ray powder pattern (Cu Kα (λ = 1.5418 Å)), based on the PBE+U geometry in the Materials Project.
Kinematic intensities with the Lorentz-polarization factor, no thermal factor.

Most intense lines, 2θ from 15° to 90°, in order of rising 2θ:
hkl	2θ/deg	I (rel.)
0 0 1	17.69	11
0 1 0	18.02	11
1 0 0	18.64	100
0 1 1	18.79	11
1 1 0	23.58	12
0 0 2	35.81	15
0 2 0	36.55	22
1 0 -2	43.46	32
2 2 2	44.38	60
2 2 0	48.25	11
3 2 2	58.58	10
1 2 4	63.90	24

Atomic structure:
```
data_Li5Mn2CoO8
_symmetry_space_group_name_H-M 'P -1'
_symmetry_Int_Tables_number 2
_symmetry_space_group_name_Hall '-P 1'
_cell_length_a 5.0324
_cell_length_b 5.7373
_cell_length_c 5.8313
_cell_angle_alpha 60.66
_cell_angle_beta 73.97
_cell_angle_gamma 73.51
loop_
_atom_site_label
_atom_site_type_symbol
_atom_site_fract_x
_atom_site_fract_y
_atom_site_fract_z
Li1 Li 0.0000 0.0000 0.0000
Li2 Li 0.4974 0.2499 0.2477
Li3 Li 0.4980 0.2360 0.7664
Mn1 Mn 0.0000 0.0000 0.5000
Mn2 Mn 0.0000 0.5000 0.5000
Co1 Co 0.0000 0.5000 0.0000
O1 O 0.2166 0.6086 0.1424
O2 O 0.2189 0.1396 0.1412
O3 O 0.2248 0.1379 0.6117
O4 O 0.2360 0.6451 0.5932
```

***

# 8
Li4MnCo2O7: computed X-ray powder pattern (Cu Kα (λ = 1.5418 Å)), based on the PBE+U geometry in the Materials Project.
Kinematic intensities with the Lorentz-polarization factor, no thermal factor.

Most intense lines, 2θ from 15° to 90°, in order of rising 2θ:
hkl	2θ/deg	I (rel.)
0 1 -1	18.23	100
1 2 2	35.71	15
-1 1 2	35.94	12
2 0 1	36.14	13
1 3 1	43.27	28
2 -1 2	43.53	53
1 -3 0	47.27	8
1 -4 1	62.45	7
1 -1 5	62.53	7
2 3 -2	63.16	7
3 2 3	63.59	7
-3 1 1	63.97	7

Atomic structure:
```
data_Li4MnCo2O7
_symmetry_space_group_name_H-M 'P -1'
_symmetry_Int_Tables_number 2
_symmetry_space_group_name_Hall '-P 1'
_cell_length_a 5.0370
_cell_length_b 6.6418
_cell_length_c 7.8355
_cell_angle_alpha 85.69
_cell_angle_beta 77.05
_cell_angle_gamma 82.85
loop_
_atom_site_label
_atom_site_type_symbol
_atom_site_fract_x
_atom_site_fract_y
_atom_site_fract_z
Li1 Li 0.0000 0.0000 0.0000
Li2 Li 0.0650 0.8656 0.3444
Li3 Li 0.2175 0.5811 0.0699
Li4 Li 0.3525 0.2767 0.7975
Li5 Li 0.5000 0.0000 0.5000
Mn1 Mn 0.2862 0.4285 0.4278
Co1 Co 0.1292 0.7203 0.7296
Co2 Co 0.4408 0.1326 0.1396
O1 O 0.0307 0.4386 0.6578
O2 O 0.1076 0.2870 0.0542
O3 O 0.1759 0.1679 0.3951
O4 O 0.2680 0.9823 0.7488
O5 O 0.3337 0.8650 0.1019
O6 O 0.4012 0.6881 0.4761
O7 O 0.4760 0.5738 0.8006
```

***

# 9
Li7Mn4CoO12: computed X-ray powder pattern (Cu Kα (λ = 1.5418 Å)), based on the PBE+U geometry in the Materials Project.
Kinematic intensities with the Lorentz-polarization factor, no thermal factor.

Most intense lines, 2θ from 15° to 90°, in order of rising 2θ:
hkl	2θ/deg	I (rel.)
1 0 -1	15.55	11
1 0 -2	18.37	100
1 0 4	34.49	21
1 1 1	36.36	24
0 0 6	41.64	31
2 1 -1	44.25	56
1 1 -5	47.35	8
3 1 -3	58.30	11
2 1 5	62.19	15
2 1 -7	62.56	15
4 0 -2	63.70	7
0 2 0	65.02	7

Atomic structure:
```
data_Li7Mn4CoO12
_symmetry_space_group_name_H-M 'P 1 2/m 1'
_symmetry_Int_Tables_number 10
_symmetry_space_group_name_Hall '-P 2y'
_cell_length_a 5.8439
_cell_length_b 2.8687
_cell_length_c 13.3166
_cell_angle_alpha 90.00
_cell_angle_beta 102.23
_cell_angle_gamma 90.00
loop_
_atom_site_label
_atom_site_type_symbol
_atom_site_fract_x
_atom_site_fract_y
_atom_site_fract_z
Li1 Li 0.0000 0.0000 0.0000
Li2 Li 0.0000 0.5000 0.5000
Li3 Li 0.3275 0.0000 0.6444
Li4 Li 0.3407 0.5000 0.1739
Li5 Li 0.5000 0.5000 0.5000
Mn1 Mn 0.1668 0.5000 0.8278
Mn2 Mn 0.1774 0.0000 0.3477
Co1 Co 0.5000 0.0000 0.0000
O1 O 0.0548 0.5000 0.6596
O2 O 0.0679 0.0000 0.1794
O3 O 0.2459 0.0000 0.4863
O4 O 0.2755 0.5000 0.0019
O5 O 0.3921 0.5000 0.3348
O6 O 0.3954 0.0000 0.8315
```

***

# 10
Li2MnCoO4: computed X-ray powder pattern (Cu Kα (λ = 1.5418 Å)), based on the PBE+U geometry in the Materials Project.
Kinematic intensities with the Lorentz-polarization factor, no thermal factor.

Most intense lines, 2θ from 15° to 90°, in order of rising 2θ:
hkl	2θ/deg	I (rel.)
0 0 4	18.10	100
2 0 0	34.15	18
1 1 -2	36.17	26
0 0 8	36.64	10
1 1 2	37.35	9
2 0 4	41.11	31
1 1 -6	43.90	50
1 1 6	46.87	11
1 1 -10	57.67	9
1 1 10	61.70	30
2 0 -12	62.87	7
0 2 0	64.77	7

Atomic structure:
```
data_Li2MnCoO4
_symmetry_space_group_name_H-M 'C 1 2/m 1'
_symmetry_Int_Tables_number 12
_symmetry_space_group_name_Hall '-C 2y'
_cell_length_a 5.2989
_cell_length_b 2.8786
_cell_length_c 19.7777
_cell_angle_alpha 90.00
_cell_angle_beta 97.66
_cell_angle_gamma 90.00
loop_
_atom_site_label
_atom_site_type_symbol
_atom_site_fract_x
_atom_site_fract_y
_atom_site_fract_z
Li1 Li 0.0000 0.0000 0.0000
Li2 Li 0.0000 0.0000 0.5000
Li3 Li 0.0024 0.5000 0.2523
Mn1 Mn 0.2482 0.0000 0.8746
Co1 Co 0.2491 0.5000 0.6245
O1 O 0.1151 0.0000 0.6825
O2 O 0.1146 0.5000 0.4321
O3 O 0.1436 0.0000 0.1824
O4 O 0.1436 0.5000 0.9330
```